# 1
Starting from a cell relaxed with PBE, the PXRD pattern of Y2MgZn6 was simulated for CuKα.
Kinematic intensities with the Lorentz-polarization factor, no thermal factor.

Largest 10 diffraction maxima, sorted by position, 2θ = 15–90°:
two_theta, I/Imax
34.54, 34
34.97, 61
35.98, 25
39.11, 100
47.44, 15
56.08, 13
57.78, 16
64.69, 21
68.46, 12
78.25, 11

Atomic structure:
Lattice parameters (Å, degrees): 5.764 5.764 5.982 90.00 90.00 120.00
Fractional positions:
Y: 0.333 0.667 0.356
Y: 0.667 0.333 0.644
Mg: 0.000 0.000 0.500
Zn: 0.179 0.358 0.844
Zn: 0.179 0.821 0.844
Zn: 0.358 0.179 0.156
Zn: 0.642 0.821 0.844
Zn: 0.821 0.179 0.156
Zn: 0.821 0.642 0.156

# 2
Starting from a cell relaxed with PBE, the PXRD pattern of Y2MgZn7 was simulated for CuKα.
Kinematic intensities with the Lorentz-polarization factor, no thermal factor.

Largest 10 diffraction maxima, sorted by position, 2θ = 15–90°:
two_theta, I/Imax
30.69, 16
32.39, 52
34.72, 100
43.95, 57
44.94, 23
46.19, 35
55.64, 21
63.90, 18
65.66, 23
74.82, 19

Atomic structure:
Lattice parameters (Å, degrees): 4.120 4.120 11.180 90.00 90.00 90.00
Fractional positions:
Y: 0.000 0.500 0.234
Y: 0.500 0.000 0.766
Mg: 0.000 0.000 0.500
Zn: 0.000 0.000 0.000
Zn: 0.000 0.500 0.650
Zn: 0.000 0.500 0.869
Zn: 0.500 0.000 0.131
Zn: 0.500 0.000 0.350
Zn: 0.500 0.500 0.000
Zn: 0.500 0.500 0.500

# 3
Starting from a cell relaxed with PBE, the PXRD pattern of Y6MgZn was simulated for CuKα.
Kinematic intensities with the Lorentz-polarization factor, no thermal factor.

Largest 10 diffraction maxima, sorted by position, 2θ = 15–90°:
two_theta, I/Imax
26.60, 12
31.98, 100
35.01, 44
40.98, 9
47.07, 8
50.36, 15
54.98, 14
58.23, 8
60.91, 30
66.86, 8

Atomic structure:
Lattice parameters (Å, degrees): 9.525 9.525 9.525 148.78 148.78 44.73
Fractional positions:
Y: 0.107 0.607 0.500
Y: 0.249 0.249 0.000
Y: 0.393 0.893 0.500
Y: 0.607 0.107 0.500
Y: 0.751 0.751 0.000
Y: 0.893 0.393 0.500
Mg: 0.000 0.000 0.000
Zn: 0.500 0.500 0.000

# 4
Starting from a cell relaxed with PBE, the PXRD pattern of YMg3Zn8 was simulated for CuKα.
Kinematic intensities with the Lorentz-polarization factor, no thermal factor.

Largest 10 diffraction maxima, sorted by position, 2θ = 15–90°:
two_theta, I/Imax
20.54, 33
33.85, 13
39.93, 100
41.75, 44
41.86, 14
48.63, 14
64.66, 28
71.15, 14
71.30, 13
86.09, 14

Atomic structure:
Lattice parameters (Å, degrees): 9.158 9.158 9.158 33.64 33.64 33.64
Fractional positions:
Y: 0.000 0.000 0.000
Mg: 0.125 0.125 0.125
Mg: 0.498 0.498 0.498
Mg: 0.621 0.621 0.621
Zn: 0.061 0.061 0.559
Zn: 0.061 0.559 0.061
Zn: 0.066 0.563 0.563
Zn: 0.312 0.312 0.312
Zn: 0.559 0.061 0.061
Zn: 0.563 0.066 0.563
Zn: 0.563 0.563 0.066
Zn: 0.812 0.812 0.812

# 5
Starting from a cell relaxed with PBE, the PXRD pattern of Y2Mg2Zn15 was simulated for CuKα.
Kinematic intensities with the Lorentz-polarization factor, no thermal factor.

Largest 10 diffraction maxima, sorted by position, 2θ = 15–90°:
two_theta, I/Imax
19.58, 19
34.25, 21
35.30, 20
39.75, 45
39.96, 100
40.56, 38
44.87, 55
58.11, 19
72.15, 21
73.38, 15

Atomic structure:
Lattice parameters (Å, degrees): 6.871 6.871 6.871 82.60 82.60 82.60
Fractional positions:
Y: 0.157 0.157 0.157
Y: 0.843 0.843 0.843
Mg: 0.396 0.396 0.396
Mg: 0.604 0.604 0.604
Zn: 0.000 0.500 0.500
Zn: 0.145 0.145 0.662
Zn: 0.145 0.662 0.145
Zn: 0.203 0.500 0.797
Zn: 0.203 0.797 0.500
Zn: 0.338 0.855 0.855
Zn: 0.500 0.000 0.500
Zn: 0.500 0.203 0.797
Zn: 0.500 0.500 0.000
Zn: 0.500 0.797 0.203
Zn: 0.662 0.145 0.145
Zn: 0.797 0.203 0.500
Zn: 0.797 0.500 0.203
Zn: 0.855 0.338 0.855
Zn: 0.855 0.855 0.338

# 6
Starting from a cell relaxed with PBE, the PXRD pattern of YMg3Zn4 was simulated for CuKα.
Kinematic intensities with the Lorentz-polarization factor, no thermal factor.

Largest 10 diffraction maxima, sorted by position, 2θ = 15–90°:
two_theta, I/Imax
22.86, 8
27.17, 8
29.97, 7
37.23, 100
38.80, 45
51.23, 9
56.04, 15
66.07, 16
69.21, 30
79.35, 9

Atomic structure:
Lattice parameters (Å, degrees): 4.642 4.642 7.133 90.00 90.00 90.00
Fractional positions:
Y: 0.000 0.000 0.000
Mg: 0.000 0.000 0.500
Mg: 0.500 0.500 0.000
Mg: 0.500 0.500 0.500
Zn: 0.000 0.500 0.264
Zn: 0.000 0.500 0.736
Zn: 0.500 0.000 0.264
Zn: 0.500 0.000 0.736